The following is a computed X-ray powder pattern of Ba6MgZn. It was derived from the GGA-PBE geometry in Alexandria, using copper Kα.
Peak positions follow from Bragg's law for the DFT cell and can differ from measured ones.

Structure:
abc: 11.773 11.773 11.773
angles: 149.94 149.94 43.04
Element x y z (fractional)
Ba: 0.091 0.591 0.500
Ba: 0.248 0.248 0.000
Ba: 0.409 0.909 0.500
Ba: 0.591 0.091 0.500
Ba: 0.752 0.752 0.000
Ba: 0.909 0.409 0.500
Mg: 0.000 0.000 0.000
Zn: 0.500 0.500 0.000

Main lines, by intensity (2θ = 15–90°):
2θ (°)  I_rel
26.28  100
29.25  59
22.13  44
50.08  33
38.43  32
24.38  27
41.84  22
49.02  16
46.49  16
32.11  14